Structure and simulated powder X-ray diffraction pattern of ZnFeHIr2 (a cell relaxed with PBE; Cu Kα (weighted mean of Kα1 and Kα2)).
Lines closer than 0.1° are merged.

Largest 10 diffraction maxima, most intense first, 2θ from 15° to 90°:
2θ 40.38, I 100, (1 1 1)
2θ 45.78, I 35, (2 0 0)
2θ 80.99, I 26, (3 1 1)
2θ 24.07, I 23, (0 0 1)
2θ 31.93, I 22, (1 1 0)
2θ 69.54, I 20, (2 0 2)
2θ 49.29, I 14, (0 0 2)
2θ 52.38, I 12, (2 0 1)
2θ 86.21, I 11, (1 1 3)
2θ 66.74, I 11, (2 2 0)

Atomic structure:
Cell: 3.9640 3.9640 3.6972 Å, 90.00 90.00 90.00°
Positions (direct):
Zn 0.0000 0.0000 0.0000
Fe 0.5000 0.5000 0.0000
H 0.5000 0.5000 0.5000
Ir 0.0000 0.5000 0.5000
Ir 0.5000 0.0000 0.5000